Record 1
Starting from the PBE+U geometry in Alexandria, the powder diffraction line list of ScMn2O4 was computed for copper Kα.

Largest 6 diffraction maxima, in order of rising 2θ, 2θ = 10–80°:
- 28.4 deg, rel. 68, hkl 1 1 2
- 32.7 deg, rel. 67, hkl 0 1 3
- 32.9 deg, rel. 50, hkl 1 0 3
- 33.8 deg, rel. 85, hkl 1 2 1
- 34.4 deg, rel. 100, hkl 2 1 1
- 58.7 deg, rel. 100, hkl 2 2 4

Cell and atoms:
Cell lengths 6.0379, 6.2350, 9.1332 Å; angles 90.00, 90.00, 90.00 degrees
Space group Imma (No. 74)
Asymmetric unit:
Sc: 0.0000 0.0000 0.0000 [4 per cell]
Mn: 0.0000 0.2500 0.3704 [4 per cell]
Mn: 0.2500 0.2500 0.7500 [4 per cell]
O: 0.0000 0.0350 0.7608 [8 per cell]
O: 0.2299 0.2500 0.9963 [8 per cell]

=====

Record 2
Starting from the PBE+U geometry in Alexandria, the powder diffraction line list of Li2V3SnO8 was computed for copper Kα.

Largest 6 diffraction maxima, in order of rising 2θ, 2θ = 10–80°:
- 17.9 deg, rel. 40, hkl 1 1 1
- 20.6 deg, rel. 45, hkl 0 0 2
- 29.5 deg, rel. 38, hkl 2 2 0
- 34.6 deg, rel. 100, hkl 1 3 1
- 35.0 deg, rel. 47, hkl 3 1 1
- 61.3 deg, rel. 38, hkl 4 4 0

Cell and atoms:
Cell lengths 8.4852, 8.6167, 8.6259 Å; angles 90.00, 90.00, 90.00 degrees
Space group P2_12_12_1 (No. 19)
Asymmetric unit:
Li: 0.0058 0.0020 0.0041 [4 per cell]
Li: 0.1258 0.3740 0.8763 [4 per cell]
V: 0.1273 0.1264 0.6371 [4 per cell]
V: 0.1311 0.8658 0.3757 [4 per cell]
V: 0.1443 0.6276 0.1333 [4 per cell]
Sn: 0.2458 0.2488 0.2559 [4 per cell]
O: 0.1101 0.1129 0.3927 [4 per cell]
O: 0.1149 0.6214 0.8897 [4 per cell]
O: 0.1145 0.6381 0.3486 [4 per cell]
O: 0.1161 0.3913 0.1244 [4 per cell]
O: 0.1225 0.8830 0.6178 [4 per cell]
O: 0.1346 0.8553 0.1356 [4 per cell]
O: 0.1417 0.1260 0.8609 [4 per cell]
O: 0.1456 0.3675 0.6195 [4 per cell]